Computed powder diffraction line list of GdScCSe for Cu Ka, from a DFT-relaxed cell (PBE, OQMD).

Cell and atoms:
Cell: 3.6650 3.6650 12.9149 Å, 90.00 90.00 120.00°
Space group P6_3mc (No. 186)
Unique sites:
Gd  0.3333  0.6667  0.0000 [2 per cell]
Sc  0.3333  0.6667  0.3010 [2 per cell]
C  0.0000  0.0000  0.3952 [2 per cell]
Se  0.3333  0.6667  0.6612 [2 per cell]

Peak list (8 most intense, 2θ from 5° to 70°, most intense first)
2θ (°)	d/Å	I/Imax	hkl
35.13	2.555	100	1 0 3
49.76	1.833	27	1 1 0
28.11	3.174	27	1 0 0
13.71	6.457	23	0 0 2
28.97	3.082	23	1 0 1
62.36	1.489	18	2 0 3
67.08	1.395	16	1 1 6
57.83	1.594	12	1 0 7